Starting from a GGA-PBE-relaxed structure, the X-ray diffraction stick pattern of Sc6AgTe2 was calculated for Cu Kα X-rays.

```
data_Sc6AgTe2
_space_group_name_H-M_alt 'P n m a'
_space_group_IT_number 62
_space_group_name_Hall '-P 2ac 2n'
_cell_length_a 20.448
_cell_length_b 3.862
_cell_length_c 10.764
_cell_angle_alpha 90.00
_cell_angle_beta 90.00
_cell_angle_gamma 90.00
loop_
_atom_site_label
_atom_site_fract_x
_atom_site_fract_y
_atom_site_fract_z
Sc1 0.009 0.250 0.109
Sc2 0.029 0.750 0.377
Sc3 0.107 0.250 0.823
Sc4 0.137 0.750 0.064
Sc5 0.163 0.250 0.533
Sc6 0.231 0.750 0.745
Ag1 0.077 0.750 0.638
Te1 0.127 0.250 0.271
Te2 0.234 0.250 0.960
```

Largest 10 diffraction maxima, low angle first, 2θ = 10–90°:
(hkl)	two_theta	intensity
4 0 2	24.0	40
5 1 1	33.0	100
0 1 3	34.1	33
2 0 4	34.5	42
2 1 3	35.3	39
8 0 1	36.1	64
3 1 3	36.6	46
6 1 2	39.0	56
2 1 4	41.9	34
0 2 0	47.1	45